# Mn12O7F17
Computed XRD peak list, copper Kα. Input: a crystal structure in the Materials Project, relaxed with GGA+U.
Peak positions follow from Bragg's law for the DFT cell and can differ from measured ones.

Largest 10 diffraction maxima, sorted by position, 10 to 90 degrees two-theta:
2θ 23.5, I = 100
2θ 24.4, I = 85
2θ 28.8, I = 93
2θ 29.3, I = 89
2θ 29.7, I = 93
2θ 29.9, I = 86
2θ 51.0, I = 80
2θ 51.8, I = 41
2θ 61.5, I = 49
2θ 62.2, I = 40

Atomic structure:
```
Mn12O7F17
1.0
4.8318 0.0000 0.0000
0.2155 5.8198 0.0000
0.2473 0.1658 15.7558
Mn O F
12 7 17
Direct
0.0000 0.0000 0.0000
0.0011 0.9780 0.3418
0.0398 0.3304 0.5093
0.4758 0.7842 0.5004
0.4884 0.5062 0.6718
0.4967 0.7912 0.1674
0.5062 0.4865 0.3370
0.5235 0.4692 0.0064
0.5280 0.8006 0.8347
0.9412 0.3046 0.8350
0.9529 0.3094 0.1765
0.9660 0.9901 0.6759
0.2872 0.7334 0.3958
0.2956 0.5446 0.5651
0.7041 0.5149 0.1160
0.7049 0.5451 0.7741
0.7617 0.2665 0.2829
0.7630 0.0281 0.7860
0.7877 0.2587 0.9474
0.2021 0.2759 0.7305
0.2054 0.2657 0.0700
0.2125 0.0359 0.2208
0.2174 0.0363 0.5678
0.2493 0.2398 0.3944
0.2530 0.7603 0.7255
0.2579 0.5361 0.2328
0.2590 0.0247 0.8917
0.2631 0.7574 0.0535
0.2922 0.5334 0.8965
0.7164 0.7763 0.6053
0.7321 0.7592 0.2789
0.7435 0.7561 0.9504
0.7491 0.0090 0.4536
0.7509 0.5127 0.4407
0.7555 0.2762 0.6179
0.7587 0.0223 0.1102
```